K3Np3Si2O13: simulated powder X-ray diffraction pattern (copper Kα), based on the PBE geometry in Alexandria.
No peak broadening, texture or thermal motion is included.

Structural model:
```
data_K3Np3Si2O13
_chemical_formula_sum 'K3 Np3 Si2 O13'
_space_group_name_H-M_alt 'P 3'
_space_group_IT_number 143
_cell_length_a 9.7954
_cell_length_b 9.7954
_cell_length_c 3.9589
_cell_angle_alpha 90.00
_cell_angle_beta 90.00
_cell_angle_gamma 120.00
loop_
_space_group_symop_operation_xyz
'x,y,z'
'-y,x-y,z'
'-x+y,-x,z'
loop_
_atom_site_label
_atom_site_type_symbol
_atom_site_fract_x
_atom_site_fract_y
_atom_site_fract_z
K1 K 0.0054 0.7798 0.0000
Np1 Np 0.4223 0.0199 0.4978
Si1 Si 0.3333 0.6667 0.9996
Si2 Si 0.6667 0.3333 0.9380
O1 O 0.0093 0.6043 0.4999
O2 O 0.1746 0.4988 0.0004
O3 O 0.2311 0.0214 0.4981
O4 O 0.4978 0.1662 0.0035
O5 O 0.6667 0.3333 0.5147
```

Principal peaks in the range 5 to 70 degrees two-theta, by angle:
2θ/deg, d [Å], I_rel, hkl
10.4, 8.483, 50, 1 0 0
18.1, 4.898, 95, 1 1 0
20.9, 4.242, 42, 2 0 0
27.8, 3.206, 60, 1 2 0
29.0, 3.079, 100, 1 1 1
30.9, 2.894, 63, 0 2 1
38.3, 2.353, 42, 3 1 0
44.8, 2.023, 75, 3 1 1